Computed X-ray powder pattern of K4PuO6 for Cu Kα, from DFT lattice parameters and positions (GGA-PBE).
Peak positions follow from Bragg's law for the DFT cell and can differ from measured ones.

Largest 6 diffraction maxima, in order of falling intensity, 2θ from 5° to 70°:
- 16.88°, I = 100, (1 1 0)
- 16.54°, I = 97, (0 1 2)
- 29.45°, I = 60, (3 0 0)
- 37.69°, I = 43, (2 1 4)
- 23.72°, I = 28, (2 0 2)
- 29.25°, I = 26, (1 2 2)

abc: 10.5079 10.5079 13.2597
angles: 90.00 90.00 120.00
Space group R-3c (No. 167, hexagonal axes)
Unique sites:
K: 0.0000 0.0000 0.2500 [6 per cell]
K: 0.0000 0.3517 0.2500 [18 per cell]
Pu: 0.0000 0.0000 0.0000 [6 per cell]
O: 0.0221 0.1636 0.4127 [36 per cell]